# 1
Starting from the PBE geometry in Alexandria, the X-ray powder pattern of Sr3SmTe4 was calculated for λ = 1.5418 Å (Cu Kα).
Peak positions follow from Bragg's law for the DFT cell and can differ from measured ones.

Structural model:
Cell: 9.350 13.165 4.631 Å, 90.00 90.00 90.00°
Space group Cmmm (No. 65)
Inequivalent atoms, fractional coordinates:
Sr: 0.000 0.000 0.000 (multiplicity 2)
Sr: 0.250 0.250 0.500 (multiplicity 4)
Sm: 0.000 0.500 0.000 (multiplicity 2)
Te: 0.000 0.256 0.000 (multiplicity 4)
Te: 0.239 0.500 0.500 (multiplicity 4)

The 8 most intense peaks (15 to 90 degrees two-theta), by intensity:
Position (°2θ)  I (rel.)
27.10  100
38.70  51
63.18  23
47.72  14
48.04  14
55.88  13
38.51  13
38.90  13

# 2
Starting from the PBE geometry in Alexandria, the X-ray powder pattern of La3MnGaS7 was calculated for λ = 1.5418 Å (Cu Kα).
Peak positions follow from Bragg's law for the DFT cell and can differ from measured ones.

Structural model:
Cell: 10.2265 10.2265 6.1503 Å, 90.00 90.00 120.00°
Space group P6_3 (No. 173)
Inequivalent atoms, fractional coordinates:
La: 0.1419 0.3751 0.0000 (multiplicity 6)
Mn: 0.0000 0.0000 0.2168 (multiplicity 2)
Ga: 0.3333 0.6667 0.5802 (multiplicity 2)
S: 0.0909 0.2344 0.4457 (multiplicity 6)
S: 0.0981 0.5803 0.7302 (multiplicity 6)
S: 0.3333 0.6667 0.2126 (multiplicity 2)

The 8 most intense peaks (15 to 90 degrees two-theta), by intensity:
Position (°2θ)  I (rel.)
24.78  100
35.54  40
35.10  37
33.68  34
39.50  30
26.63  28
39.81  27
22.61  26

# 3
Starting from the PBE geometry in Alexandria, the X-ray powder pattern of CaCu6Ge2 was calculated for λ = 1.5418 Å (Cu Kα).
Peak positions follow from Bragg's law for the DFT cell and can differ from measured ones.

Structural model:
Cell: 4.168 4.168 7.906 Å, 90.00 90.00 90.00°
Space group P4/mmm (No. 123)
Inequivalent atoms, fractional coordinates:
Ca: 0.000 0.000 0.000 (multiplicity 1)
Cu: 0.000 0.000 0.500 (multiplicity 1)
Cu: 0.000 0.500 0.321 (multiplicity 4)
Cu: 0.500 0.500 0.500 (multiplicity 1)
Ge: 0.500 0.500 0.160 (multiplicity 2)

The 8 most intense peaks (15 to 90 degrees two-theta), by intensity:
Position (°2θ)  I (rel.)
46.21  100
43.42  84
38.09  57
81.68  34
63.09  26
40.50  20
87.61  17
21.32  17

# 4
Starting from the PBE geometry in Alexandria, the X-ray powder pattern of Y2Ga3Pt was calculated for λ = 1.5418 Å (Cu Kα).
Peak positions follow from Bragg's law for the DFT cell and can differ from measured ones.

Structural model:
Cell: 10.345 4.438 7.146 Å, 90.00 132.34 90.00°
Space group Cm (No. 8)
Inequivalent atoms, fractional coordinates:
Y: 0.000 0.000 0.000 (multiplicity 2)
Y: 0.087 0.000 0.594 (multiplicity 2)
Ga: 0.200 0.500 0.996 (multiplicity 2)
Ga: 0.208 0.500 0.405 (multiplicity 2)
Ga: 0.377 0.000 0.200 (multiplicity 2)
Pt: 0.375 0.000 0.587 (multiplicity 2)

The 8 most intense peaks (15 to 90 degrees two-theta), by intensity:
Position (°2θ)  I (rel.)
40.83  100
34.50  79
34.09  64
40.66  62
33.17  47
17.18  35
33.94  34
39.91  28

# 5
Starting from the PBE geometry in Alexandria, the X-ray powder pattern of CuPdSe3 was calculated for λ = 1.5418 Å (Cu Kα).
Peak positions follow from Bragg's law for the DFT cell and can differ from measured ones.

Structural model:
Cell: 5.096 3.884 11.109 Å, 90.00 102.60 90.00°
Space group P2_1/m (No. 11)
Inequivalent atoms, fractional coordinates:
Cu: 0.237 0.250 0.089 (multiplicity 2)
Pd: 0.124 0.250 0.655 (multiplicity 2)
Se: 0.021 0.250 0.875 (multiplicity 2)
Se: 0.195 0.250 0.427 (multiplicity 2)
Se: 0.438 0.750 0.723 (multiplicity 2)

The 8 most intense peaks (15 to 90 degrees two-theta), by intensity:
Position (°2θ)  I (rel.)
29.19  100
31.41  64
45.92  54
34.04  47
48.06  43
43.20  41
17.84  40
46.77  39

# 6
Starting from the PBE geometry in Alexandria, the X-ray powder pattern of Ba5P3O13 was calculated for λ = 1.5418 Å (Cu Kα).
Peak positions follow from Bragg's law for the DFT cell and can differ from measured ones.

Structural model:
Cell: 10.3857 10.3857 7.8182 Å, 90.00 90.00 120.00°
Space group P6_3 (No. 173)
Inequivalent atoms, fractional coordinates:
Ba: 0.0169 0.7535 0.0000 (multiplicity 6)
Ba: 0.3333 0.6667 0.2500 (multiplicity 2)
Ba: 0.3333 0.6667 0.7499 (multiplicity 2)
P: 0.0342 0.6331 0.5001 (multiplicity 6)
O: 0.0000 0.0000 0.4984 (multiplicity 2)
O: 0.0821 0.7343 0.3379 (multiplicity 6)
O: 0.0820 0.7341 0.6624 (multiplicity 6)
O: 0.1199 0.5448 0.4999 (multiplicity 6)
O: 0.1370 0.4776 0.0000 (multiplicity 6)

The 8 most intense peaks (15 to 90 degrees two-theta), by intensity:
Position (°2θ)  I (rel.)
28.61  100
29.80  33
24.83  20
26.21  19
41.76  18
43.77  18
43.01  17
46.60  17

What did the sixth record say?
Starting from the PBE geometry in Alexandria, the X-ray powder pattern of Ba5P3O13 was calculated for λ = 1.5418 Å (Cu Kα).
Peak positions follow from Bragg's law for the DFT cell and can differ from measured ones.

Structural model:
Cell: 10.3857 10.3857 7.8182 Å, 90.00 90.00 120.00°
Space group P6_3 (No. 173)
Inequivalent atoms, fractional coordinates:
Ba: 0.0169 0.7535 0.0000 (multiplicity 6)
Ba: 0.3333 0.6667 0.2500 (multiplicity 2)
Ba: 0.3333 0.6667 0.7499 (multiplicity 2)
P: 0.0342 0.6331 0.5001 (multiplicity 6)
O: 0.0000 0.0000 0.4984 (multiplicity 2)
O: 0.0821 0.7343 0.3379 (multiplicity 6)
O: 0.0820 0.7341 0.6624 (multiplicity 6)
O: 0.1199 0.5448 0.4999 (multiplicity 6)
O: 0.1370 0.4776 0.0000 (multiplicity 6)

The 8 most intense peaks (15 to 90 degrees two-theta), by intensity:
Position (°2θ)  I (rel.)
28.61  100
29.80  33
24.83  20
26.21  19
41.76  18
43.77  18
43.01  17
46.60  17